Record 1
This entry pairs a crystal structure of Mo6H2N2Cl14O with its theoretical XRD peak list. Radiation: Cu Kα X-rays. Structure: DFT lattice parameters and positions (GGA+U).
Intensities are scaled so that the largest is 100.

Most intense lines, 10° ≤ 2θ ≤ 80°, sorted by position:
2theta	Rel. int.
10.46	100
10.95	43
14.37	26
14.73	18
31.43	10
34.91	10
35.40	9
37.72	11
41.58	10
42.94	9

Structural model:
a b c (Å): 13.058 13.058 9.920
angles (deg): 112.12 112.12 76.50
Positions (direct):
1 Mo 0.019 0.579 0.326
2 Mo 0.028 0.647 0.675
3 Mo 0.190 0.432 0.561
4 Mo 0.353 0.972 0.825
5 Mo 0.421 0.981 0.174
6 Mo 0.432 0.190 0.061
7 Mo 0.568 0.810 0.939
8 Mo 0.579 0.019 0.826
9 Mo 0.647 0.028 0.175
10 Mo 0.810 0.568 0.439
11 Mo 0.972 0.353 0.325
12 Mo 0.981 0.421 0.674
13 H 0.007 0.030 0.699
14 H 0.030 0.007 0.199
15 H 0.970 0.993 0.801
16 H 0.993 0.970 0.301
17 N 0.324 0.676 0.250
18 N 0.500 0.500 0.000
19 N 0.500 0.500 0.500
20 N 0.676 0.324 0.750
21 Cl 0.039 0.661 0.165
22 Cl 0.059 0.818 0.880
23 Cl 0.103 0.266 0.535
24 Cl 0.136 0.393 0.273
25 Cl 0.160 0.514 0.826
26 Cl 0.182 0.941 0.620
27 Cl 0.187 0.631 0.568
28 Cl 0.266 0.103 0.035
29 Cl 0.339 0.961 0.335
30 Cl 0.369 0.813 0.932
31 Cl 0.370 0.382 0.128
32 Cl 0.382 0.370 0.628
33 Cl 0.393 0.136 0.773
34 Cl 0.486 0.840 0.674
35 Cl 0.514 0.160 0.326
36 Cl 0.607 0.864 0.227
37 Cl 0.618 0.630 0.372
38 Cl 0.630 0.618 0.872
39 Cl 0.631 0.187 0.068
40 Cl 0.661 0.039 0.665
41 Cl 0.734 0.897 0.965
42 Cl 0.813 0.369 0.432
43 Cl 0.818 0.059 0.380
44 Cl 0.840 0.486 0.174
45 Cl 0.864 0.607 0.727
46 Cl 0.897 0.734 0.465
47 Cl 0.941 0.182 0.120
48 Cl 0.961 0.339 0.835
49 O 0.049 0.951 0.250
50 O 0.951 0.049 0.750

Record 2
This entry pairs a crystal structure of MoH2N2Cl5O with its theoretical XRD peak list. Radiation: Cu Kα X-rays. Structure: DFT lattice parameters and positions (GGA+U).
Intensities are scaled so that the largest is 100.

Most intense lines, 10° ≤ 2θ ≤ 80°, sorted by position:
2theta	Rel. int.
15.41	97
15.62	100
17.79	41
18.00	85
29.86	27
32.02	33
36.04	45
36.47	30
40.57	23
52.21	18

Structural model:
a b c (Å): 13.802 9.970 7.037
angles (deg): 90.00 90.00 90.00
Positions (direct):
1 Mo 0.116 0.250 0.193
2 Mo 0.384 0.750 0.693
3 Mo 0.616 0.250 0.307
4 Mo 0.884 0.750 0.807
5 H 0.045 0.669 0.033
6 H 0.045 0.831 0.033
7 H 0.455 0.169 0.533
8 H 0.455 0.331 0.533
9 H 0.545 0.669 0.467
10 H 0.545 0.831 0.467
11 H 0.955 0.169 0.967
12 H 0.955 0.331 0.967
13 N 0.144 0.000 0.655
14 N 0.144 0.500 0.655
15 N 0.356 0.000 0.155
16 N 0.356 0.500 0.155
17 N 0.644 0.000 0.845
18 N 0.644 0.500 0.845
19 N 0.856 0.000 0.345
20 N 0.856 0.500 0.345
21 Cl 0.007 0.250 0.442
22 Cl 0.107 0.011 0.182
23 Cl 0.107 0.489 0.182
24 Cl 0.215 0.250 0.930
25 Cl 0.248 0.250 0.397
26 Cl 0.252 0.750 0.897
27 Cl 0.285 0.750 0.430
28 Cl 0.393 0.511 0.682
29 Cl 0.393 0.989 0.682
30 Cl 0.493 0.750 0.942
31 Cl 0.507 0.250 0.058
32 Cl 0.607 0.011 0.318
33 Cl 0.607 0.489 0.318
34 Cl 0.715 0.250 0.570
35 Cl 0.748 0.250 0.103
36 Cl 0.752 0.750 0.603
37 Cl 0.785 0.750 0.070
38 Cl 0.893 0.511 0.818
39 Cl 0.893 0.989 0.818
40 Cl 0.993 0.750 0.558
41 O 0.007 0.750 0.004
42 O 0.493 0.250 0.504
43 O 0.507 0.750 0.496
44 O 0.993 0.250 0.996

Record 3
This entry pairs a crystal structure of MoH2Cl2O3 with its theoretical XRD peak list. Radiation: Cu Kα X-rays. Structure: DFT lattice parameters and positions (GGA+U).
Intensities are scaled so that the largest is 100.

Most intense lines, 10° ≤ 2θ ≤ 80°, sorted by position:
2theta	Rel. int.
14.75	100
19.16	13
22.55	33
24.61	25
25.32	39
29.77	11
31.10	15
35.48	12
38.87	18
46.97	13

Structural model:
a b c (Å): 9.264 3.930 7.890
angles (deg): 90.00 90.00 90.00
Positions (direct):
1 Mo 0.000 0.162 0.000
2 Mo 0.500 0.838 0.500
3 H 0.085 0.343 0.658
4 H 0.415 0.657 0.158
5 H 0.585 0.657 0.158
6 H 0.915 0.343 0.658
7 Cl 0.246 0.250 0.941
8 Cl 0.254 0.750 0.441
9 Cl 0.746 0.750 0.441
10 Cl 0.754 0.250 0.941
11 O 0.000 0.200 0.215
12 O 0.000 0.224 0.701
13 O 0.000 0.715 0.970
14 O 0.500 0.285 0.470
15 O 0.500 0.776 0.201
16 O 0.500 0.800 0.715

Record 4
This entry pairs a crystal structure of MoHCl2O2 with its theoretical XRD peak list. Radiation: Cu Kα X-rays. Structure: DFT lattice parameters and positions (GGA+U).
Intensities are scaled so that the largest is 100.

Most intense lines, 10° ≤ 2θ ≤ 80°, sorted by position:
2theta	Rel. int.
15.20	100
23.82	27
25.06	20
26.07	38
31.17	13
34.85	7
37.37	8
38.63	13
45.89	8
47.20	13

Structural model:
a b c (Å): 9.323 3.844 7.471
angles (deg): 90.00 90.00 90.00
Positions (direct):
1 Mo 0.000 0.200 0.000
2 Mo 0.500 0.800 0.500
3 H 0.000 0.235 0.330
4 H 0.500 0.765 0.830
5 Cl 0.239 0.273 0.076
6 Cl 0.261 0.727 0.576
7 Cl 0.739 0.727 0.576
8 Cl 0.761 0.273 0.076
9 O 0.000 0.218 0.772
10 O 0.000 0.738 0.046
11 O 0.500 0.262 0.546
12 O 0.500 0.782 0.272

Record 5
This entry pairs a crystal structure of NiH8Cl2O4 with its theoretical XRD peak list. Radiation: Cu Kα X-rays. Structure: DFT lattice parameters and positions (GGA+U).
Intensities are scaled so that the largest is 100.

Most intense lines, 10° ≤ 2θ ≤ 80°, sorted by position:
2theta	Rel. int.
16.50	46
18.18	95
18.78	21
20.51	100
29.79	33
31.33	71
34.97	37
44.82	24
46.00	23
49.03	22

Structural model:
a b c (Å): 6.100 9.451 11.507
angles (deg): 90.00 110.94 90.00
Positions (direct):
1 Ni 0.241 0.172 0.237
2 Ni 0.241 0.328 0.737
3 Ni 0.759 0.672 0.263
4 Ni 0.759 0.828 0.763
5 H 0.009 0.151 0.389
6 H 0.009 0.349 0.889
7 H 0.022 0.021 0.914
8 H 0.022 0.479 0.414
9 H 0.035 0.508 0.183
10 H 0.035 0.992 0.683
11 H 0.186 0.593 0.686
12 H 0.186 0.907 0.186
13 H 0.347 0.679 0.296
14 H 0.347 0.821 0.796
15 H 0.386 0.578 0.067
16 H 0.386 0.922 0.567
17 H 0.453 0.206 0.074
18 H 0.453 0.294 0.574
19 H 0.485 0.060 0.648
20 H 0.485 0.440 0.148
21 H 0.515 0.560 0.852
22 H 0.515 0.940 0.352
23 H 0.547 0.706 0.426
24 H 0.547 0.794 0.926
25 H 0.614 0.078 0.433
26 H 0.614 0.422 0.933
27 H 0.653 0.179 0.204
28 H 0.653 0.321 0.704
29 H 0.814 0.093 0.814
30 H 0.814 0.407 0.314
31 H 0.965 0.008 0.317
32 H 0.965 0.492 0.817
33 H 0.978 0.521 0.586
34 H 0.978 0.979 0.086
35 H 0.991 0.651 0.111
36 H 0.991 0.849 0.611
37 Cl 0.029 0.686 0.926
38 Cl 0.029 0.814 0.426
39 Cl 0.337 0.145 0.887
40 Cl 0.337 0.355 0.387
41 Cl 0.663 0.645 0.613
42 Cl 0.663 0.855 0.113
43 Cl 0.971 0.186 0.574
44 Cl 0.971 0.314 0.074
45 O 0.033 0.612 0.196
46 O 0.033 0.888 0.696
47 O 0.150 0.512 0.630
48 O 0.150 0.988 0.130
49 O 0.479 0.038 0.366
50 O 0.479 0.462 0.866
51 O 0.496 0.731 0.335
52 O 0.496 0.769 0.835
53 O 0.504 0.231 0.165
54 O 0.504 0.269 0.665
55 O 0.521 0.538 0.134
56 O 0.521 0.962 0.634
57 O 0.850 0.012 0.870
58 O 0.850 0.488 0.370
59 O 0.967 0.112 0.304
60 O 0.967 0.388 0.804